This entry pairs a crystal structure of Ho4TcPt with its calculated powder XRD pattern. Radiation: copper Kα. Structure: the PBE geometry in Alexandria.
No peak broadening, texture or thermal motion is included.

Peak list (10 most intense, 15 to 90 degrees two-theta, in order of rising 2θ)
hkl, two_theta, intensity
1 1 4, 30.87, 78
2 1 0, 31.74, 79
0 1 5, 32.01, 30
2 0 5, 34.40, 24
2 1 3, 35.07, 100
1 0 7, 36.42, 33
3 0 4, 41.48, 31
0 2 0, 41.72, 52
1 1 7, 42.16, 34
3 2 4, 60.29, 23

Cell and atoms:
a b c (Å): 7.426 4.330 18.306
angles (deg): 90.00 90.00 90.00
Sites, in units of the cell vectors:
Ho 0.009 0.250 0.073
Ho 0.071 0.250 0.781
Ho 0.090 0.250 0.353
Ho 0.149 0.250 0.543
Ho 0.351 0.750 0.043
Ho 0.410 0.750 0.853
Ho 0.429 0.750 0.281
Ho 0.491 0.750 0.573
Ho 0.509 0.250 0.427
Ho 0.571 0.250 0.719
Ho 0.590 0.250 0.147
Ho 0.649 0.250 0.957
Ho 0.851 0.750 0.457
Ho 0.910 0.750 0.647
Ho 0.929 0.750 0.219
Ho 0.991 0.750 0.927
Tc 0.249 0.750 0.438
Tc 0.251 0.250 0.938
Tc 0.749 0.750 0.062
Tc 0.751 0.250 0.562
Pt 0.222 0.250 0.205
Pt 0.278 0.750 0.705
Pt 0.722 0.250 0.295
Pt 0.778 0.750 0.795

=====

This entry pairs a crystal structure of SmYBr6 with its calculated powder XRD pattern. Radiation: copper Kα. Structure: the PBE geometry in Alexandria.
No peak broadening, texture or thermal motion is included.

Peak list (10 most intense, 15 to 90 degrees two-theta, in order of rising 2θ)
hkl, two_theta, intensity
1 1 -1, 17.02, 58
2 0 0, 26.47, 17
1 3 1, 29.33, 100
2 0 -2, 31.60, 44
2 4 0, 38.02, 26
1 5 1, 40.15, 17
0 6 0, 40.69, 17
2 0 2, 43.20, 18
3 3 -1, 43.65, 66
4 0 0, 54.51, 18

Cell and atoms:
a b c (Å): 7.042 13.307 7.044
angles (deg): 90.00 107.02 90.00
Sites, in units of the cell vectors:
Sm 0.000 0.000 0.000
Sm 0.500 0.500 0.000
Y 0.000 0.500 0.500
Y 0.500 0.000 0.500
Br 0.245 0.354 0.745
Br 0.245 0.646 0.745
Br 0.248 0.500 0.252
Br 0.252 0.000 0.748
Br 0.255 0.146 0.255
Br 0.255 0.854 0.255
Br 0.745 0.146 0.745
Br 0.745 0.854 0.745
Br 0.748 0.000 0.252
Br 0.752 0.500 0.748
Br 0.755 0.354 0.255
Br 0.755 0.646 0.255

=====

This entry pairs a crystal structure of V3P with its calculated powder XRD pattern. Radiation: copper Kα. Structure: the PBE geometry in Alexandria.
No peak broadening, texture or thermal motion is included.

Peak list (10 most intense, 15 to 90 degrees two-theta, in order of rising 2θ)
hkl, two_theta, intensity
0 1 1, 24.97, 4
1 1 2, 42.89, 100
0 0 4, 45.39, 21
0 2 0, 45.54, 21
2 0 0, 58.13, 9
0 2 4, 66.25, 12
2 0 4, 76.68, 8
2 2 0, 76.79, 8
1 1 6, 82.11, 13
1 3 2, 82.33, 13

Cell and atoms:
a b c (Å): 3.174 3.984 7.993
angles (deg): 90.00 90.00 90.00
Sites, in units of the cell vectors:
V 0.000 0.000 0.000
V 0.000 0.500 0.256
V 0.000 0.500 0.744
V 0.500 0.000 0.244
V 0.500 0.000 0.756
V 0.500 0.500 0.500
P 0.000 0.000 0.500
P 0.500 0.500 0.000